1.
For Ca2TlPd3, the GGA-PBE geometry in Alexandria gives the calculated powder X-ray diffraction pattern in this record (copper Kα).
Neutral-atom scattering factors, no anomalous dispersion.

```
Ca2TlPd3
1.0
2.874 1.659 4.425
-2.874 1.659 4.425
0.000 -3.319 4.425
Ca Tl Pd
2 1 3
Direct
0.125 0.125 0.125
0.875 0.875 0.875
0.500 0.500 0.500
0.000 0.500 0.500
0.500 0.000 0.500
0.500 0.500 0.000
```

Principal peaks in the range 10 to 80 degrees two-theta, sorted by position:
2theta	I (rel.)
19.04	100
37.30	83
38.43	38
38.63	76
40.78	22
45.55	34



2.
For Rb3Sb3Au5, the GGA-PBE geometry in Alexandria gives the calculated powder X-ray diffraction pattern in this record (copper Kα).
Neutral-atom scattering factors, no anomalous dispersion.

```
Rb3Sb3Au5
1.0
6.992 0.000 0.000
-1.400 8.074 0.000
-3.427 -3.452 6.663
Rb Sb Au
3 3 5
Direct
0.000 0.000 0.000
0.320 0.671 0.337
0.649 0.333 0.664
0.252 0.319 0.843
0.583 0.989 0.166
0.928 0.665 0.519
0.311 0.662 0.812
0.630 0.305 0.118
0.682 0.661 0.137
0.999 0.323 0.454
0.999 0.994 0.494
```

Principal peaks in the range 10 to 80 degrees two-theta, sorted by position:
2theta	I (rel.)
14.04	100
28.09	15
28.29	35
37.13	23
37.64	23
38.00	23



3.
For AcSnRu, the GGA-PBE geometry in Alexandria gives the calculated powder X-ray diffraction pattern in this record (copper Kα).
Neutral-atom scattering factors, no anomalous dispersion.

```
AcSnRu
1.0
6.040 -2.419 0.000
6.040 2.419 0.000
-1.158 0.000 5.407
Ac Sn Ru
2 2 2
Direct
0.128 0.128 0.318
0.872 0.872 0.682
0.404 0.404 0.175
0.596 0.596 0.825
0.195 0.195 0.857
0.805 0.805 0.143
```

Principal peaks in the range 10 to 80 degrees two-theta, sorted by position:
2theta	I (rel.)
26.85	73
29.25	65
30.27	49
31.21	100
33.44	47
37.17	67